(1)
For CsPrDy4S8, a DFT-relaxed cell (PBE, Alexandria) gives the calculated X-ray diffraction stick pattern in this record (λ = 1.5418 Å (Cu Kα)).
No peak broadening, texture or thermal motion is included.

Main lines, by angle (15 to 90 degrees two-theta):
2θ/deg	Rel. int.	index
20.90	31	1 0 4
24.48	44	0 1 5
24.92	100	1 1 3
25.13	51	0 2 1
30.10	41	0 2 4
39.03	28	0 2 7
39.46	34	1 2 5
39.75	31	0 3 3
42.55	57	2 0 8
43.62	56	2 2 0

Cell lengths 8.3004, 8.3004, 21.0756 Å; angles 90.00, 90.00, 120.00 degrees
Space group R3m (No. 160, hexagonal axes)
Symmetry-distinct sites (fractional):
Cs: 0.0000 0.0000 0.0000 (multiplicity 3)
Pr: 0.0000 0.0000 0.6382 (multiplicity 3)
Dy: 0.0000 0.0000 0.2583 (multiplicity 3)
Dy: 0.1719 0.3438 0.4642 (multiplicity 9)
S: 0.0000 0.0000 0.3889 (multiplicity 3)
S: 0.0000 0.0000 0.8582 (multiplicity 3)
S: 0.0489 0.5244 0.3942 (multiplicity 9)
S: 0.1736 0.3472 0.2125 (multiplicity 9)


(2)
For TbNd2UO8, a DFT-relaxed cell (PBE, Alexandria) gives the calculated X-ray diffraction stick pattern in this record (λ = 1.5418 Å (Cu Kα)).
No peak broadening, texture or thermal motion is included.

Main lines, by angle (15 to 90 degrees two-theta):
2θ/deg	Rel. int.	index
27.93	100	1 1 0
28.37	96	0 1 2
32.46	22	0 2 0
32.69	43	1 0 2
46.34	18	2 0 0
46.73	68	1 2 2
47.48	16	0 0 4
55.21	46	2 1 2
55.99	29	1 1 4
86.21	17	3 2 2

Cell lengths 3.919, 5.517, 7.660 Å; angles 90.00, 90.00, 90.00 degrees
Space group Pmmm (No. 47)
Symmetry-distinct sites (fractional):
Tb: 0.000 0.000 0.000 (multiplicity 1)
Nd: 0.500 0.500 0.250 (multiplicity 2)
U: 0.000 0.000 0.500 (multiplicity 1)
O: 0.000 0.233 0.275 (multiplicity 4)
O: 0.500 0.223 0.500 (multiplicity 2)
O: 0.500 0.243 0.000 (multiplicity 2)


(3)
For Rb3Sc2Br9, a DFT-relaxed cell (PBE, Alexandria) gives the calculated X-ray diffraction stick pattern in this record (λ = 1.5418 Å (Cu Kα)).
No peak broadening, texture or thermal motion is included.

Main lines, by angle (15 to 90 degrees two-theta):
2θ/deg	Rel. int.	index
26.89	15	2 2 0
27.20	23	0 0 6
30.21	100	2 2 3
38.62	22	2 2 6
47.51	22	6 0 0
49.98	21	2 2 9
55.60	19	6 0 6
57.34	15	4 4 3
76.51	8	6 0 12
77.57	12	8 2 3

Cell lengths 13.2603, 13.2603, 19.6716 Å; angles 90.00, 90.00, 120.00 degrees
Space group R-3c (No. 167, hexagonal axes)
Symmetry-distinct sites (fractional):
Rb: 0.0000 0.3356 0.2500 (multiplicity 18)
Sc: 0.0000 0.0000 0.1562 (multiplicity 12)
Br: 0.0000 0.1568 0.7500 (multiplicity 18)
Br: 0.0038 0.1717 0.4069 (multiplicity 36)